(1)
Simulated XRD peak list
Compound: SmY2AlS6
Radiation: Cu Ka
Structure: a crystal structure in Alexandria, relaxed with GGA-PBE
Lines closer than 0.1° are merged.

Most intense lines, 5° ≤ 2θ ≤ 70°, sorted by position:
2θ (°)  I_rel
15.90  39
18.06  45
24.96  100
26.32  78
30.32  65
36.59  56
40.19  89
45.63  52
46.45  60
53.28  31
63.07  21
67.02  21

Structural model:
Lattice parameters (Å, degrees): 7.1553 7.1553 7.1553 56.49 56.49 56.49
Sites, in units of the cell vectors:
Sm: 0.0000 0.0000 0.0000
Y: 0.2906 0.2906 0.2906
Y: 0.7957 0.7957 0.7957
Al: 0.4927 0.4927 0.4927
S: 0.1242 0.6896 0.3973
S: 0.2326 0.5973 0.8564
S: 0.3973 0.1242 0.6896
S: 0.5973 0.8564 0.2326
S: 0.6896 0.3973 0.1242
S: 0.8564 0.2326 0.5973

***

(2)
Simulated XRD peak list
Compound: CaLa2Sm6Y3
Radiation: Cu Ka
Structure: a crystal structure in Alexandria, relaxed with GGA-PBE
Lines closer than 0.1° are merged.

Most intense lines, 5° ≤ 2θ ≤ 70°, sorted by position:
2θ (°)  I_rel
14.90  7
28.63  5
29.95  100
30.05  32
34.75  67
49.89  24
50.03  23
52.34  3
59.32  42
59.47  13
62.23  12
62.47  4

Structural model:
Lattice parameters (Å, degrees): 6.3334 6.3334 12.0803 95.01 95.01 120.03
Sites, in units of the cell vectors:
Ca: 0.0000 0.0000 0.0000
La: 0.3331 0.6669 0.0000
La: 0.6669 0.3331 0.0000
Sm: 0.0861 0.4231 0.2568
Sm: 0.2506 0.2506 0.7426
Sm: 0.4231 0.0861 0.2568
Sm: 0.5769 0.9139 0.7432
Sm: 0.7494 0.7494 0.2574
Sm: 0.9139 0.5769 0.7432
Y: 0.1657 0.8343 0.5000
Y: 0.5000 0.5000 0.5000
Y: 0.8343 0.1657 0.5000

***

(3)
Simulated XRD peak list
Compound: KBaNpN3
Radiation: Cu Ka
Structure: a crystal structure in Alexandria, relaxed with GGA-PBE
Lines closer than 0.1° are merged.

Most intense lines, 5° ≤ 2θ ≤ 70°, sorted by position:
2θ (°)  I_rel
13.01  72
15.54  40
20.02  27
22.95  23
27.35  100
28.42  54
29.60  95
29.89  46
38.37  30
48.24  24
50.14  22
50.51  19

Structural model:
Lattice parameters (Å, degrees): 7.5083 7.5083 6.0457 93.59 93.59 129.95
Sites, in units of the cell vectors:
K: 0.2340 0.7660 0.7500
K: 0.7660 0.2340 0.2500
Ba: 0.4079 0.5921 0.2500
Ba: 0.5921 0.4079 0.7500
Np: 0.0647 0.9353 0.2500
Np: 0.9353 0.0647 0.7500
N: 0.1664 0.2220 0.4930
N: 0.2077 0.7923 0.2500
N: 0.2220 0.1664 0.9930
N: 0.7780 0.8336 0.0070
N: 0.7923 0.2077 0.7500
N: 0.8336 0.7780 0.5070